Calculated PXRD pattern
Compound: CaHo4ScSe8
Radiation: CuKα
Structure: DFT lattice parameters and positions (PBE)
Kinematic intensities with the Lorentz-polarization factor, no thermal factor.

Lattice parameters (Å, degrees): 8.3080 8.3080 8.3080 60.80 60.80 60.80
Atoms (fractional coordinates):
Ca1 0.0000 0.0000 0.0000
Ho1 0.1150 0.6243 0.6243
Ho2 0.2447 0.2447 0.2447
Ho3 0.6243 0.1150 0.6243
Ho4 0.6243 0.6243 0.1150
Sc1 0.6244 0.6244 0.6244
Se1 0.3790 0.3790 0.3790
Se2 0.3851 0.3851 0.8451
Se3 0.3851 0.8451 0.3851
Se4 0.4057 0.8553 0.8553
Se5 0.8451 0.3851 0.3851
Se6 0.8553 0.4057 0.8553
Se7 0.8553 0.8553 0.4057
Se8 0.8628 0.8628 0.8628

Top 10 peaks for 10° ≤ 2θ ≤ 90°, by angle:
2θ/deg	d/Å	Rel. int.
13.1	6.742	29
21.4	4.153	28
24.8	3.583	62
25.0	3.567	40
30.2	2.955	100
39.6	2.276	30
39.8	2.263	22
43.0	2.102	74
43.6	2.077	73
62.9	1.477	23

Calculated PXRD pattern
Compound: CaZrP2S8
Radiation: CuKα
Structure: DFT lattice parameters and positions (PBE)
Kinematic intensities with the Lorentz-polarization factor, no thermal factor.

Lattice parameters (Å, degrees): 5.9989 5.9989 8.6495 90.00 90.00 120.00
Atoms (fractional coordinates):
Ca1 0.0000 0.0000 0.0000
Zr1 0.0000 0.0000 0.5000
P1 0.3333 0.6667 0.7541
P2 0.6667 0.3333 0.2459
S1 0.0002 0.3357 0.6848
S2 0.9998 0.6643 0.3152
S3 0.3333 0.6667 0.9846
S4 0.3355 0.9998 0.6848
S5 0.3357 0.3355 0.3152
S6 0.6643 0.6645 0.6848
S7 0.6645 0.0002 0.3152
S8 0.6667 0.3333 0.0154

Top 10 peaks for 10° ≤ 2θ ≤ 90°, by angle:
2θ/deg	d/Å	Rel. int.
10.2	8.649	23
17.1	5.195	26
19.9	4.454	93
26.8	3.324	73
29.8	2.999	41
31.6	2.834	74
36.5	2.465	100
51.1	1.788	23
52.1	1.754	55
52.9	1.732	59

Calculated PXRD pattern
Compound: Pm2MgGa12
Radiation: CuKα
Structure: DFT lattice parameters and positions (PBE)
Kinematic intensities with the Lorentz-polarization factor, no thermal factor.

Lattice parameters (Å, degrees): 5.9042 5.9042 17.5433 90.00 90.00 90.00
Atoms (fractional coordinates):
Pm1 0.2500 0.7500 0.2217
Pm2 0.2500 0.7500 0.7783
Pm3 0.7500 0.2500 0.2217
Pm4 0.7500 0.2500 0.7783
Mg1 0.2500 0.7500 0.5000
Mg2 0.7500 0.2500 0.5000
Ga1 0.0020 0.5020 0.3850
Ga2 0.0020 0.9980 0.6150
Ga3 0.0665 0.5665 0.9346
Ga4 0.0665 0.9335 0.0654
Ga5 0.2500 0.2500 0.1496
Ga6 0.2500 0.2500 0.2912
Ga7 0.2500 0.2500 0.7088
Ga8 0.2500 0.2500 0.8504
Ga9 0.4335 0.5665 0.0654
Ga10 0.4335 0.9335 0.9346
Ga11 0.4980 0.5020 0.6150
Ga12 0.4980 0.9980 0.3850
Ga13 0.5020 0.0020 0.6150
Ga14 0.5020 0.4980 0.3850
Ga15 0.5665 0.0665 0.0654
Ga16 0.5665 0.4335 0.9346
Ga17 0.7500 0.7500 0.1496
Ga18 0.7500 0.7500 0.2912
Ga19 0.7500 0.7500 0.7088
Ga20 0.7500 0.7500 0.8504
Ga21 0.9335 0.0665 0.9346
Ga22 0.9335 0.4335 0.0654
Ga23 0.9980 0.0020 0.3850
Ga24 0.9980 0.4980 0.6150

Top 10 peaks for 10° ≤ 2θ ≤ 90°, by angle:
2θ/deg	d/Å	Rel. int.
10.1	8.772	34
29.5	3.024	29
32.0	2.798	100
33.4	2.686	27
34.0	2.635	47
36.7	2.449	49
42.1	2.149	54
43.3	2.087	66
62.0	1.497	19
69.7	1.349	23